Record 1
The following is a computed X-ray powder pattern of VMoIr. It was derived from the PBE geometry in Alexandria, using copper Kα.
Peak positions follow from Bragg's law for the DFT cell and can differ from measured ones.

Structure:
```
data_VMoIr
_chemical_formula_sum 'V2 Mo2 Ir2'
_cell_length_a 2.723
_cell_length_b 2.723
_cell_length_c 11.929
_cell_angle_alpha 90.00
_cell_angle_beta 90.00
_cell_angle_gamma 90.00
_symmetry_space_group_name_H-M 'I 4 m m'
_symmetry_Int_Tables_number 107
_symmetry_space_group_name_Hall 'I 4 -2'
loop_
_atom_site_label
_atom_site_fract_x
_atom_site_fract_y
_atom_site_fract_z
_atom_site_occupancy
V1 0.000 0.000 0.000 1
Mo1 0.000 0.000 0.679 1
Ir1 0.000 0.000 0.346 1
```

Most intense lines, 10° ≤ 2θ ≤ 90°, sorted by position:
hkl	two_theta	d (Å)	I_rel
0 0 2	14.9	5.965	39.2
1 0 1	33.8	2.655	20.4
1 0 3	40.1	2.247	100.0
0 0 6	45.6	1.988	16.9
1 1 0	47.2	1.926	31.4
1 1 6	67.7	1.383	20.4
1 0 9	80.6	1.192	12.7
2 1 3	82.9	1.164	24.2

Record 2
The following is a computed X-ray powder pattern of LiIn5Pt. It was derived from the PBE geometry in Alexandria, using copper Kα.
Peak positions follow from Bragg's law for the DFT cell and can differ from measured ones.

Structure:
```
data_LiIn5Pt
_chemical_formula_sum 'Li1 In5 Pt1'
_cell_length_a 4.639
_cell_length_b 4.639
_cell_length_c 7.548
_cell_angle_alpha 90.00
_cell_angle_beta 90.00
_cell_angle_gamma 90.00
_symmetry_space_group_name_H-M 'P 4/m m m'
_symmetry_Int_Tables_number 123
_symmetry_space_group_name_Hall '-P 4 2'
loop_
_atom_site_label
_atom_site_fract_x
_atom_site_fract_y
_atom_site_fract_z
_atom_site_occupancy
Li1 0.000 0.000 0.000 1
In1 0.000 0.500 0.288 1
In2 0.500 0.500 0.000 1
Pt1 0.000 0.000 0.500 1
```

Most intense lines, 10° ≤ 2θ ≤ 90°, sorted by position:
hkl	two_theta	d (Å)	I_rel
0 0 1	11.7	7.548	22.0
1 0 1	22.5	3.952	58.6
1 1 2	36.3	2.476	100.0
2 0 0	38.8	2.319	47.7
1 0 3	40.8	2.212	12.5
1 1 3	45.4	1.999	32.9
2 2 0	56.1	1.640	16.0
3 1 2	68.6	1.367	30.0

Record 3
The following is a computed X-ray powder pattern of TmCd2Pd3. It was derived from the PBE geometry in Alexandria, using copper Kα.
Peak positions follow from Bragg's law for the DFT cell and can differ from measured ones.

Structure:
```
data_TmCd2Pd3
_chemical_formula_sum 'Tm1 Cd2 Pd3'
_cell_length_a 4.7329
_cell_length_b 4.7329
_cell_length_c 5.7197
_cell_angle_alpha 90.00
_cell_angle_beta 90.00
_cell_angle_gamma 120.00
_symmetry_space_group_name_H-M 'P -3 m 1'
_symmetry_Int_Tables_number 164
_symmetry_space_group_name_Hall '-P 3 2"'
loop_
_atom_site_label
_atom_site_fract_x
_atom_site_fract_y
_atom_site_fract_z
_atom_site_occupancy
Tm1 0.0000 0.0000 0.0000 1
Cd1 0.3333 0.6667 0.6655 1
Pd1 0.0000 0.0000 0.5000 1
Pd2 0.3333 0.6667 0.1721 1
```

Most intense lines, 10° ≤ 2θ ≤ 90°, sorted by position:
hkl	two_theta	d (Å)	I_rel
1 1 0	38.0	2.366	100.0
0 1 2	38.4	2.345	98.0
2 0 2	55.1	1.666	33.6
3 0 0	68.7	1.366	16.9
1 2 2	68.9	1.362	33.8
1 0 4	69.6	1.350	16.2
2 2 0	81.3	1.183	10.6
0 2 4	82.2	1.173	10.3

Record 4
The following is a computed X-ray powder pattern of PmErZnPt. It was derived from the PBE geometry in Alexandria, using copper Kα.
Peak positions follow from Bragg's law for the DFT cell and can differ from measured ones.

Structure:
```
data_PmErZnPt
_chemical_formula_sum 'Pm2 Er2 Zn2 Pt2'
_cell_length_a 4.445
_cell_length_b 3.872
_cell_length_c 10.862
_cell_angle_alpha 90.00
_cell_angle_beta 90.00
_cell_angle_gamma 90.00
_symmetry_space_group_name_H-M 'A m m 2'
_symmetry_Int_Tables_number 38
loop_
_symmetry_equiv_pos_as_xyz
'x,y,z'
'-x,-y,z'
'-x,y,z'
'x,-y,z'
'x,y+1/2,z+1/2'
'-x,-y+1/2,z+1/2'
'-x,y+1/2,z+1/2'
'x,-y+1/2,z+1/2'
loop_
_atom_site_label
_atom_site_fract_x
_atom_site_fract_y
_atom_site_fract_z
_atom_site_occupancy
Pm1 0.000 0.000 0.000 1
Er1 0.500 0.000 0.282 1
Zn1 0.500 0.000 0.570 1
Pt1 0.000 0.000 0.720 1
```

Most intense lines, 10° ≤ 2θ ≤ 90°, sorted by position:
hkl	two_theta	d (Å)	I_rel
0 0 2	16.3	5.431	18.8
1 1 1	31.7	2.819	100.0
0 0 4	33.0	2.716	23.9
0 1 3	33.9	2.645	31.0
1 0 4	38.9	2.317	27.2
1 1 3	39.7	2.273	62.3
2 0 0	40.6	2.222	29.2
0 2 0	46.9	1.936	19.3

Record 5
The following is a computed X-ray powder pattern of Th4BiRu2. It was derived from the PBE geometry in Alexandria, using copper Kα.
Peak positions follow from Bragg's law for the DFT cell and can differ from measured ones.

Structure:
```
data_Th4BiRu2
_chemical_formula_sum 'Th16 Bi4 Ru8'
_cell_length_a 4.359
_cell_length_b 13.218
_cell_length_c 14.045
_cell_angle_alpha 90.00
_cell_angle_beta 90.00
_cell_angle_gamma 90.00
_symmetry_space_group_name_H-M 'C m c m'
_symmetry_Int_Tables_number 63
_symmetry_space_group_name_Hall '-C 2c 2'
loop_
_atom_site_label
_atom_site_fract_x
_atom_site_fract_y
_atom_site_fract_z
_atom_site_occupancy
Th1 0.000 0.000 0.000 1
Th2 0.000 0.266 0.108 1
Th3 0.000 0.416 0.750 1
Bi1 0.000 0.107 0.750 1
Ru1 0.000 0.377 0.558 1
```

Most intense lines, 10° ≤ 2θ ≤ 90°, sorted by position:
hkl	two_theta	d (Å)	I_rel
0 2 4	28.8	3.101	100.0
1 3 1	29.5	3.026	77.8
1 3 2	31.6	2.835	24.2
1 1 5	38.7	2.324	17.3
2 0 0	41.4	2.180	25.5
1 5 3	44.5	2.036	20.1
2 2 4	51.2	1.783	19.7
1 3 7	54.5	1.684	15.4

Record 6
The following is a computed X-ray powder pattern of Al4ZnMo. It was derived from the PBE geometry in Alexandria, using copper Kα.
Peak positions follow from Bragg's law for the DFT cell and can differ from measured ones.

Structure:
```
data_Al4ZnMo
_chemical_formula_sum 'Al8 Zn2 Mo2'
_cell_length_a 4.497
_cell_length_b 8.964
_cell_length_c 4.614
_cell_angle_alpha 90.00
_cell_angle_beta 90.00
_cell_angle_gamma 90.00
_symmetry_space_group_name_H-M 'C m m m'
_symmetry_Int_Tables_number 65
_symmetry_space_group_name_Hall '-C 2 2'
loop_
_atom_site_label
_atom_site_fract_x
_atom_site_fract_y
_atom_site_fract_z
_atom_site_occupancy
Al1 0.000 0.153 0.000 1
Al2 0.000 0.329 0.500 1
Zn1 0.000 0.500 0.000 1
Mo1 0.000 0.000 0.500 1
```

Most intense lines, 10° ≤ 2θ ≤ 90°, sorted by position:
hkl	two_theta	d (Å)	I_rel
0 2 0	19.8	4.482	32.0
1 1 1	29.5	3.031	42.2
0 0 2	39.0	2.307	29.7
2 0 0	40.1	2.248	27.5
1 3 1	41.2	2.190	100.0
2 0 2	57.2	1.610	18.7
1 3 3	72.2	1.308	20.8
3 3 1	73.6	1.287	17.2

Record 7
The following is a computed X-ray powder pattern of CdHgF4. It was derived from the PBE geometry in Alexandria, using copper Kα.
Peak positions follow from Bragg's law for the DFT cell and can differ from measured ones.

Structure:
```
data_CdHgF4
_chemical_formula_sum 'Cd4 Hg4 F16'
_cell_length_a 7.419
_cell_length_b 7.419
_cell_length_c 7.331
_cell_angle_alpha 90.00
_cell_angle_beta 90.00
_cell_angle_gamma 90.00
_symmetry_space_group_name_H-M 'I 41 m d'
_symmetry_Int_Tables_number 109
_symmetry_space_group_name_Hall 'I 4bw -2'
loop_
_atom_site_label
_atom_site_fract_x
_atom_site_fract_y
_atom_site_fract_z
_atom_site_occupancy
Cd1 0.000 0.000 0.000 1
Hg1 0.000 0.000 0.503 1
F1 0.000 0.305 0.010 1
F2 0.000 0.308 0.493 1
```

Most intense lines, 10° ≤ 2θ ≤ 90°, sorted by position:
hkl	two_theta	d (Å)	I_rel
2 0 0	24.0	3.709	100.0
1 1 2	29.7	3.005	91.3
2 2 0	34.2	2.623	25.0
3 1 2	45.9	1.976	75.6
4 0 0	49.1	1.855	17.6
4 2 0	55.4	1.659	16.8
2 0 4	56.0	1.643	19.5
3 3 2	58.5	1.578	22.8

Record 8
The following is a computed X-ray powder pattern of TlIn2HgPb. It was derived from the PBE geometry in Alexandria, using copper Kα.
Peak positions follow from Bragg's law for the DFT cell and can differ from measured ones.

Structure:
```
data_TlIn2HgPb
_chemical_formula_sum 'Tl2 In4 Hg2 Pb2'
_cell_length_a 8.141
_cell_length_b 3.341
_cell_length_c 11.291
_cell_angle_alpha 90.00
_cell_angle_beta 107.88
_cell_angle_gamma 90.00
_symmetry_space_group_name_H-M 'P 1 21/m 1'
_symmetry_Int_Tables_number 11
loop_
_symmetry_equiv_pos_as_xyz
'x,y,z'
'-x,-y,-z'
'-x,y+1/2,-z'
'x,-y+1/2,z'
loop_
_atom_site_label
_atom_site_fract_x
_atom_site_fract_y
_atom_site_fract_z
_atom_site_occupancy
Tl1 0.026 0.250 0.265 1
In1 0.410 0.750 0.845 1
In2 0.422 0.750 0.365 1
Hg1 0.199 0.750 0.549 1
Pb1 0.205 0.750 0.055 1
```

Most intense lines, 10° ≤ 2θ ≤ 90°, sorted by position:
hkl	two_theta	d (Å)	I_rel
1 1 0	29.1	3.068	81.0
1 0 -4	31.7	2.820	100.0
2 0 2	32.4	2.765	88.1
3 0 -2	33.6	2.670	85.1
1 1 2	35.4	2.535	82.4
2 1 -2	36.1	2.489	76.4
2 1 -4	44.0	2.060	31.5
4 0 -6	58.5	1.579	38.7